1.
# CsTlS2
Calculated powder diffractogram, a wavelength of 1.5418 Å. Input: a cell relaxed with GGA-PBE.
Neutral-atom scattering factors, no anomalous dispersion.

Principal peaks in the range 5 to 70 degrees two-theta, most intense first:
d_spacing	Rel. int.	index
3.099	100	2 2 -4
4.099	71	0 0 4
3.696	44	3 1 -1
1.826	37	4 0 6
2.070	36	4 4 -1
3.868	35	2 2 1
1.721	35	2 6 3
2.983	29	1 3 3
3.650	27	1 3 -1
8.183	24	0 0 2

Crystal structure
```
data_CsTlS2
_chemical_formula_sum 'Cs16 Tl16 S32'
_cell_length_a 11.7093
_cell_length_b 11.7057
_cell_length_c 16.6239
_cell_angle_alpha 90.00
_cell_angle_beta 100.19
_cell_angle_gamma 90.00
_space_group_name_H-M_alt 'C 1 2/c 1'
_space_group_IT_number 15
loop_
_space_group_symop_operation_xyz
'x,y,z'
'-x,-y,-z'
'-x,y,-z+1/2'
'x,-y,z+1/2'
'x+1/2,y+1/2,z'
'-x+1/2,-y+1/2,-z'
'-x+1/2,y+1/2,-z+1/2'
'x+1/2,-y+1/2,z+1/2'
loop_
_atom_site_label
_atom_site_fract_x
_atom_site_fract_y
_atom_site_fract_z
Cs1 0.0366 0.1885 0.3915
Cs2 0.2156 0.4385 0.1136
Tl1 0.1017 0.1885 0.6632
Tl2 0.1455 0.4357 0.8376
S1 0.0000 0.0541 0.7500
S2 0.0000 0.4302 0.2500
S3 0.0458 0.3123 0.9332
S4 0.2052 0.0630 0.5700
S5 0.2422 0.1880 0.2493
```


2.
# NbAl2Se2Cl8
Calculated powder diffractogram, a wavelength of 1.5418 Å. Input: a cell relaxed with GGA-PBE.
Neutral-atom scattering factors, no anomalous dispersion.

Principal peaks in the range 5 to 70 degrees two-theta, most intense first:
d_spacing	Rel. int.	index
8.742	100	0 1 1
6.873	56	1 1 -1
8.302	52	1 0 0
8.384	46	0 0 2
7.933	37	1 0 -2
2.975	28	1 3 -3
5.422	22	1 1 1
3.451	21	2 1 1
3.050	18	2 1 2
2.436	17	2 3 -5

Crystal structure
```
data_NbAl2Se2Cl8
_chemical_formula_sum 'Nb4 Al8 Se8 Cl32'
_cell_length_a 9.2813
_cell_length_b 10.2438
_cell_length_c 18.7464
_cell_angle_alpha 90.00
_cell_angle_beta 116.56
_cell_angle_gamma 90.00
_space_group_name_H-M_alt 'P 1 21/c 1'
_space_group_IT_number 14
loop_
_space_group_symop_operation_xyz
'x,y,z'
'-x,-y,-z'
'-x,y+1/2,-z+1/2'
'x,-y+1/2,z+1/2'
loop_
_atom_site_label
_atom_site_fract_x
_atom_site_fract_y
_atom_site_fract_z
Nb1 0.0845 0.1065 0.0581
Al1 0.0698 0.2302 0.2382
Al2 0.3920 0.1496 0.5824
Se1 0.1928 0.6356 0.5708
Se2 0.2004 0.5105 0.4690
Cl1 0.0013 0.1854 0.6182
Cl2 0.1281 0.6965 0.2374
Cl3 0.1402 0.1880 0.4877
Cl4 0.1419 0.0399 0.2050
Cl5 0.2673 0.1699 0.8273
Cl6 0.3908 0.1726 0.1504
Cl7 0.3990 0.5237 0.1444
Cl8 0.4361 0.6720 0.9611
```


3.
# TiSiIr
Calculated powder diffractogram, a wavelength of 1.5418 Å. Input: a cell relaxed with GGA-PBE.
Neutral-atom scattering factors, no anomalous dispersion.

Principal peaks in the range 5 to 70 degrees two-theta, most intense first:
d_spacing	Rel. int.	index
2.440	100	2 1 0
3.004	89	1 1 1
4.744	58	1 0 1
2.050	45	0 1 3
2.010	38	3 0 1
3.137	31	1 0 2
1.941	30	0 2 0
2.024	27	2 1 2
3.622	26	0 0 2
1.396	23	3 2 1

Crystal structure
```
data_TiSiIr
_chemical_formula_sum 'Ti4 Si4 Ir4'
_cell_length_a 6.2765
_cell_length_b 3.8820
_cell_length_c 7.2439
_cell_angle_alpha 90.00
_cell_angle_beta 90.00
_cell_angle_gamma 90.00
_space_group_name_H-M_alt 'P n m a'
_space_group_IT_number 62
loop_
_space_group_symop_operation_xyz
'x,y,z'
'-x,-y,-z'
'-x+1/2,-y,z+1/2'
'x+1/2,y,-z+1/2'
'x+1/2,-y+1/2,-z+1/2'
'-x+1/2,y+1/2,z+1/2'
'-x,y+1/2,-z'
'x,-y+1/2,z'
loop_
_atom_site_label
_atom_site_fract_x
_atom_site_fract_y
_atom_site_fract_z
Ti1 0.0235 0.2500 0.1813
Si1 0.2293 0.7500 0.3771
Ir1 0.1566 0.2500 0.5621
```


4.
# CdP2H6O7
Calculated powder diffractogram, a wavelength of 1.5418 Å. Input: a cell relaxed with GGA-PBE.
Neutral-atom scattering factors, no anomalous dispersion.

Principal peaks in the range 5 to 70 degrees two-theta, most intense first:
d_spacing	Rel. int.	index
3.390	100	0 2 0
6.708	72	0 0 1
2.970	52	2 1 -1
3.778	52	0 1 -2
3.110	42	-2 1 1
6.184	42	1 0 0
6.499	41	0 1 -1
2.843	33	1 -1 2
5.327	25	1 -1 0
3.654	21	1 0 -2

Crystal structure
```
data_CdP2H6O7
_chemical_formula_sum 'Cd2 P4 H12 O14'
_cell_length_a 6.8295
_cell_length_b 7.6752
_cell_length_c 8.0521
_cell_angle_alpha 113.61
_cell_angle_beta 110.10
_cell_angle_gamma 95.21
_space_group_name_H-M_alt 'P -1'
_space_group_IT_number 2
loop_
_space_group_symop_operation_xyz
'x,y,z'
'-x,-y,-z'
loop_
_atom_site_label
_atom_site_fract_x
_atom_site_fract_y
_atom_site_fract_z
Cd1 0.0723 0.2642 0.3747
P1 0.1915 0.2478 0.8392
P2 0.3891 0.7405 0.5326
H1 0.1200 0.8399 0.0525
H2 0.1400 0.4236 0.9343
H3 0.2989 0.7713 0.9705
H4 0.3677 0.9346 0.5964
H5 0.3960 0.2533 0.1246
H6 0.4793 0.3047 0.6922
O1 0.0045 0.0776 0.7770
O2 0.1446 0.7657 0.9317
O3 0.1925 0.6174 0.5236
O4 0.2506 0.2532 0.6742
O5 0.3744 0.6686 0.3152
O6 0.3908 0.2547 0.3240
O7 0.4101 0.2516 0.0016
```


5.
# YMg
Calculated powder diffractogram, a wavelength of 1.5418 Å. Input: a cell relaxed with GGA-PBE.
Neutral-atom scattering factors, no anomalous dispersion.

Principal peaks in the range 5 to 70 degrees two-theta, most intense first:
d_spacing	Rel. int.	index
2.619	100	0 1 2
11.242	92	0 0 1
2.862	28	1 0 1
2.810	27	0 0 4
2.959	24	1 0 0
1.460	20	1 1 4
1.583	20	0 1 6
1.709	18	1 1 0
2.038	16	1 0 4
1.431	14	2 0 2

Crystal structure
```
data_YMg
_chemical_formula_sum 'Y2 Mg2'
_cell_length_a 3.4170
_cell_length_b 3.4170
_cell_length_c 11.2418
_cell_angle_alpha 90.00
_cell_angle_beta 90.00
_cell_angle_gamma 120.00
_space_group_name_H-M_alt 'P -3 m 1'
_space_group_IT_number 164
_space_group_name_Hall '-P 3 2"'
loop_
_atom_site_label
_atom_site_fract_x
_atom_site_fract_y
_atom_site_fract_z
Y1 0.3333 0.6667 0.1291
Mg1 0.3333 0.6667 0.6180
```